For AlCdGaO4, a structure optimized by DFT (GGA-PBE) gives the simulated powder X-ray diffraction pattern in this record (copper Kα).
Kinematic intensities with the Lorentz-polarization factor, no thermal factor.

The 12 most intense peaks (5° ≤ 2θ ≤ 70°), by intensity:
d = 3.009 Å, 29.7°, rel. 100; d = 2.569 Å, 34.9°, rel. 99; d = 2.562 Å, 35.0°, rel. 50; d = 1.640 Å, 56.1°, rel. 43; d = 1.504 Å, 61.7°, rel. 37; d = 1.739 Å, 52.6°, rel. 23; d = 1.507 Å, 61.6°, rel. 18; d = 1.634 Å, 56.3°, rel. 17; d = 1.735 Å, 52.8°, rel. 11; d = 1.953 Å, 46.5°, rel. 9; d = 1.347 Å, 69.8°, rel. 9; d = 3.809 Å, 23.4°, rel. 6

a b c (Å): 6.027 6.027 8.490
angles (deg): 90.00 90.00 90.00
Space group P4_122 (No. 91)
One atom of each set of equivalent atoms:
Al 0.000 0.241 0.000 [4 per cell]
Cd 0.254 0.254 0.375 [4 per cell]
Ga 0.241 0.500 0.750 [4 per cell]
O 0.030 0.240 0.773 [8 per cell]
O 0.241 0.454 0.986 [8 per cell]